Record 1
For La4Dy2ErTm, the GGA-PBE geometry in Alexandria gives the simulated powder XRD pattern in this record (Cu Kα, 1.54184 Å).
Intensities are scaled so that the largest is 1000.

Top 12 peaks for 10° ≤ 2θ ≤ 90°, in order of falling intensity:
2θ = 30.17°, rel. 1000; 2θ = 34.16°, rel. 180; 2θ = 34.34°, rel. 178; 2θ = 58.70°, rel. 152; 2θ = 36.39°, rel. 152; 2θ = 58.93°, rel. 150; 2θ = 61.68°, rel. 131; 2θ = 49.22°, rel. 129; 2θ = 62.73°, rel. 124; 2θ = 50.77°, rel. 118; 2θ = 50.90°, rel. 117; 2θ = 82.54°, rel. 87

abc: 5.2234 5.2497 9.8745
angles: 90.00 90.00 90.00
Fractional coordinates of all 8 atoms:
La: 0.0000 0.0000 0.2495
La: 0.0000 0.0000 0.7505
La: 0.5000 0.5000 0.2496
La: 0.5000 0.5000 0.7504
Dy: 0.0000 0.5000 0.0000
Dy: 0.5000 0.0000 0.5000
Er: 0.0000 0.5000 0.5000
Tm: 0.5000 0.0000 0.0000


Record 2
For LaDy3ErTm, the GGA-PBE geometry in Alexandria gives the simulated powder XRD pattern in this record (Cu Kα, 1.54184 Å).
Intensities are scaled so that the largest is 1000.

Top 12 peaks for 10° ≤ 2θ ≤ 90°, in order of falling intensity:
2θ = 32.18°, rel. 1000; 2θ = 30.55°, rel. 778; 2θ = 32.98°, rel. 522; 2θ = 33.39°, rel. 502; 2θ = 47.64°, rel. 375; 2θ = 32.71°, rel. 355; 2θ = 58.92°, rel. 178; 2θ = 64.62°, rel. 139; 2θ = 64.13°, rel. 134; 2θ = 62.16°, rel. 133; 2θ = 79.69°, rel. 133; 2θ = 57.92°, rel. 128

abc: 11.5764 11.5764 6.8118
angles: 98.14 98.14 26.81
Fractional coordinates of all 12 atoms:
La: 0.1276 0.1276 0.4860
La: 0.8724 0.8724 0.5140
Dy: 0.0229 0.0229 0.7789
Dy: 0.2733 0.2733 0.6882
Dy: 0.3247 0.3247 0.2229
Dy: 0.6753 0.6753 0.7771
Dy: 0.7267 0.7267 0.3118
Dy: 0.9771 0.9771 0.2211
Er: 0.1676 0.1676 0.0300
Er: 0.8324 0.8324 0.9700
Tm: 0.4258 0.4258 0.8693
Tm: 0.5742 0.5742 0.1307


Record 3
For LaDyEr2Tm4, the GGA-PBE geometry in Alexandria gives the simulated powder XRD pattern in this record (Cu Kα, 1.54184 Å).
Intensities are scaled so that the largest is 1000.

Top 12 peaks for 10° ≤ 2θ ≤ 90°, in order of falling intensity:
2θ = 31.04°, rel. 1000; 2θ = 35.99°, rel. 506; 2θ = 51.84°, rel. 299; 2θ = 61.60°, rel. 284; 2θ = 61.73°, rel. 142; 2θ = 84.68°, rel. 118; 2θ = 64.68°, rel. 92; 2θ = 87.37°, rel. 83; 2θ = 51.71°, rel. 60; 2θ = 87.53°, rel. 55; 2θ = 76.25°, rel. 38; 2θ = 64.78°, rel. 30

abc: 7.0558 7.0558 12.2051
angles: 106.69 106.69 60.14
Fractional coordinates of all 16 atoms:
La: 0.0000 0.5000 0.0000
La: 0.5000 0.0000 0.0000
Dy: 0.0000 0.0000 0.0000
Dy: 0.0000 0.0000 0.5000
Er: 0.0000 0.5000 0.5000
Er: 0.5000 0.0000 0.5000
Er: 0.5000 0.5000 0.0000
Er: 0.5000 0.5000 0.5000
Tm: 0.2484 0.2484 0.7456
Tm: 0.2479 0.7483 0.7471
Tm: 0.2516 0.2516 0.2544
Tm: 0.2517 0.7521 0.2529
Tm: 0.7483 0.2479 0.7471
Tm: 0.7484 0.7484 0.7456
Tm: 0.7521 0.2517 0.2529
Tm: 0.7516 0.7516 0.2544


Record 4
For La2DyY2Er, the GGA-PBE geometry in Alexandria gives the simulated powder XRD pattern in this record (Cu Kα, 1.54184 Å).
Intensities are scaled so that the largest is 1000.

Top 12 peaks for 10° ≤ 2θ ≤ 90°, in order of falling intensity:
2θ = 28.72°, rel. 1000; 2θ = 29.22°, rel. 680; 2θ = 33.43°, rel. 540; 2θ = 30.03°, rel. 521; 2θ = 31.10°, rel. 506; 2θ = 35.53°, rel. 476; 2θ = 40.81°, rel. 424; 2θ = 29.50°, rel. 349; 2θ = 64.81°, rel. 323; 2θ = 42.00°, rel. 272; 2θ = 32.28°, rel. 244; 2θ = 62.40°, rel. 228

abc: 6.6086 18.3349 3.4069
angles: 90.00 90.00 90.00
Fractional coordinates of all 12 atoms:
La: 0.2259 0.1856 0.0000
La: 0.2741 0.6856 0.5000
La: 0.7259 0.3144 0.5000
La: 0.7741 0.8144 0.0000
Dy: 0.0000 0.5000 0.0000
Dy: 0.5000 0.0000 0.5000
Y: 0.2213 0.3562 0.5000
Y: 0.2787 0.8562 0.0000
Y: 0.7213 0.1438 0.0000
Y: 0.7787 0.6438 0.5000
Er: 0.0000 0.0000 0.0000
Er: 0.5000 0.5000 0.5000


Record 5
For La5DyY2Er, the GGA-PBE geometry in Alexandria gives the simulated powder XRD pattern in this record (Cu Kα, 1.54184 Å).
Intensities are scaled so that the largest is 1000.

Top 12 peaks for 10° ≤ 2θ ≤ 90°, in order of falling intensity:
2θ = 29.60°, rel. 1000; 2θ = 28.79°, rel. 547; 2θ = 27.86°, rel. 323; 2θ = 51.52°, rel. 279; 2θ = 38.41°, rel. 168; 2θ = 32.28°, rel. 117; 2θ = 53.02°, rel. 116; 2θ = 30.77°, rel. 101; 2θ = 41.17°, rel. 101; 2θ = 45.68°, rel. 100; 2θ = 42.64°, rel. 95; 2θ = 43.52°, rel. 92

abc: 10.3755 10.3755 10.3755
angles: 130.00 130.00 73.41
Fractional coordinates of all 18 atoms:
La: 0.0000 0.0000 0.0000
La: 0.0696 0.5696 0.9301
La: 0.1395 0.0696 0.5000
La: 0.3605 0.8605 0.9301
La: 0.4304 0.3605 0.5000
La: 0.5000 0.5000 0.0000
La: 0.5696 0.6395 0.5000
La: 0.6395 0.1395 0.0699
La: 0.8605 0.9304 0.5000
La: 0.9304 0.4304 0.0699
Dy: 0.2500 0.2500 0.0000
Dy: 0.7500 0.7500 0.0000
Y: 0.1211 0.3789 0.5000
Y: 0.3789 0.8789 0.2579
Y: 0.6211 0.1211 0.7421
Y: 0.8789 0.6211 0.5000
Er: 0.2500 0.7500 0.5000
Er: 0.7500 0.2500 0.5000


Record 6
For LaDyYEr2, the GGA-PBE geometry in Alexandria gives the simulated powder XRD pattern in this record (Cu Kα, 1.54184 Å).
Intensities are scaled so that the largest is 1000.

Top 12 peaks for 10° ≤ 2θ ≤ 90°, in order of falling intensity:
2θ = 32.64°, rel. 1000; 2θ = 29.15°, rel. 923; 2θ = 26.23°, rel. 811; 2θ = 45.68°, rel. 625; 2θ = 31.07°, rel. 616; 2θ = 35.73°, rel. 501; 2θ = 39.80°, rel. 421; 2θ = 57.72°, rel. 368; 2θ = 65.84°, rel. 338; 2θ = 32.86°, rel. 297; 2θ = 27.93°, rel. 213; 2θ = 50.44°, rel. 195

abc: 7.1312 7.1312 7.2377
angles: 90.00 90.00 107.68
Fractional coordinates of all 10 atoms:
La: 0.2325 0.7675 0.7500
La: 0.7675 0.2325 0.2500
Dy: 0.2163 0.7837 0.2500
Dy: 0.7837 0.2163 0.7500
Y: 0.4958 0.5042 0.2500
Y: 0.5042 0.4958 0.7500
Er: 0.1889 0.1889 0.0000
Er: 0.1889 0.1889 0.5000
Er: 0.8111 0.8111 0.0000
Er: 0.8111 0.8111 0.5000


Record 7
For La6Dy2YEr, the GGA-PBE geometry in Alexandria gives the simulated powder XRD pattern in this record (Cu Kα, 1.54184 Å).
Intensities are scaled so that the largest is 1000.

Top 12 peaks for 10° ≤ 2θ ≤ 90°, in order of falling intensity:
2θ = 30.33°, rel. 1000; 2θ = 30.04°, rel. 931; 2θ = 30.49°, rel. 533; 2θ = 26.92°, rel. 482; 2θ = 31.26°, rel. 475; 2θ = 31.44°, rel. 461; 2θ = 32.05°, rel. 424; 2θ = 32.56°, rel. 344; 2θ = 51.86°, rel. 319; 2θ = 55.21°, rel. 278; 2θ = 29.17°, rel. 264; 2θ = 33.39°, rel. 237

abc: 6.7269 6.7269 9.1251
angles: 103.21 103.21 63.22
Fractional coordinates of all 10 atoms:
La: 0.0876 0.5326 0.1936
La: 0.1316 0.1316 0.4263
La: 0.4674 0.9124 0.8064
La: 0.5326 0.0876 0.1936
La: 0.8684 0.8684 0.5737
La: 0.9124 0.4674 0.8064
Dy: 0.4206 0.4206 0.8305
Dy: 0.5794 0.5794 0.1695
Y: 0.5000 0.5000 0.5000
Er: 0.0000 0.0000 0.0000


Record 8
For LaDy6Y2Er3, the GGA-PBE geometry in Alexandria gives the simulated powder XRD pattern in this record (Cu Kα, 1.54184 Å).
Intensities are scaled so that the largest is 1000.

Top 12 peaks for 10° ≤ 2θ ≤ 90°, in order of falling intensity:
2θ = 30.80°, rel. 1000; 2θ = 35.72°, rel. 505; 2θ = 61.14°, rel. 388; 2θ = 51.40°, rel. 358; 2θ = 83.87°, rel. 145; 2θ = 86.57°, rel. 136; 2θ = 64.17°, rel. 122; 2θ = 75.66°, rel. 56; 2θ = 61.08°, rel. 35; 2θ = 83.93°, rel. 29; 2θ = 86.64°, rel. 27; 2θ = 34.25°, rel. 10

abc: 6.1553 6.1553 11.7954
angles: 94.97 94.97 119.97
Fractional coordinates of all 12 atoms:
La: 0.0000 0.0000 0.0000
Dy: 0.0853 0.4193 0.2542
Dy: 0.2489 0.2489 0.7457
Dy: 0.4193 0.0853 0.2542
Dy: 0.5807 0.9147 0.7458
Dy: 0.7511 0.7511 0.2543
Dy: 0.9147 0.5807 0.7458
Y: 0.3334 0.6666 0.0000
Y: 0.6666 0.3334 0.0000
Er: 0.1671 0.8329 0.5000
Er: 0.5000 0.5000 0.5000
Er: 0.8329 0.1671 0.5000


Record 9
For Li2Dy2ErPd5, the GGA-PBE geometry in Alexandria gives the simulated powder XRD pattern in this record (Cu Kα, 1.54184 Å).
Intensities are scaled so that the largest is 1000.

Top 12 peaks for 10° ≤ 2θ ≤ 90°, in order of falling intensity:
2θ = 37.80°, rel. 1000; 2θ = 31.69°, rel. 673; 2θ = 37.50°, rel. 545; 2θ = 35.46°, rel. 357; 2θ = 40.81°, rel. 288; 2θ = 49.69°, rel. 237; 2θ = 63.88°, rel. 226; 2θ = 41.09°, rel. 201; 2θ = 72.31°, rel. 152; 2θ = 61.70°, rel. 146; 2θ = 66.19°, rel. 136; 2θ = 65.59°, rel. 134

abc: 9.8885 9.8885 3.6695
angles: 90.00 90.00 90.00
Fractional coordinates of all 20 atoms:
Li: 0.1205 0.3795 0.0000
Li: 0.3795 0.8795 0.0000
Li: 0.6205 0.1205 0.0000
Li: 0.8795 0.6205 0.0000
Dy: 0.1749 0.6749 0.0000
Dy: 0.3251 0.1749 0.0000
Dy: 0.6749 0.8251 0.0000
Dy: 0.8251 0.3251 0.0000
Er: 0.0000 0.0000 0.0000
Er: 0.5000 0.5000 0.0000
Pd: 0.0000 0.5000 0.5000
Pd: 0.0701 0.2134 0.5000
Pd: 0.2134 0.9299 0.5000
Pd: 0.2866 0.4299 0.5000
Pd: 0.4299 0.7134 0.5000
Pd: 0.5000 0.0000 0.5000
Pd: 0.5701 0.2866 0.5000
Pd: 0.7134 0.5701 0.5000
Pd: 0.7866 0.0701 0.5000
Pd: 0.9299 0.7866 0.5000


Record 10
For LiDyEr2Tl4, the GGA-PBE geometry in Alexandria gives the simulated powder XRD pattern in this record (Cu Kα, 1.54184 Å).
Intensities are scaled so that the largest is 1000.

Top 12 peaks for 10° ≤ 2θ ≤ 90°, in order of falling intensity:
2θ = 33.69°, rel. 1000; 2θ = 34.41°, rel. 965; 2θ = 61.17°, rel. 367; 2θ = 48.92°, rel. 356; 2θ = 59.78°, rel. 185; 2θ = 61.63°, rel. 183; 2θ = 82.40°, rel. 160; 2θ = 81.18°, rel. 156; 2θ = 23.90°, rel. 129; 2θ = 72.53°, rel. 114; 2θ = 70.83°, rel. 112; 2θ = 25.99°, rel. 69

abc: 9.2834 9.2834 9.2834
angles: 32.61 32.61 32.61
Fractional coordinates of all 8 atoms:
Li: 0.0000 0.0000 0.0000
Dy: 0.5000 0.5000 0.5000
Er: 0.2540 0.2540 0.2540
Er: 0.7460 0.7460 0.7460
Tl: 0.1225 0.1225 0.1225
Tl: 0.3725 0.3725 0.3725
Tl: 0.6275 0.6275 0.6275
Tl: 0.8775 0.8775 0.8775


Record 11
For DyErLu, the GGA-PBE geometry in Alexandria gives the simulated powder XRD pattern in this record (Cu Kα, 1.54184 Å).
Intensities are scaled so that the largest is 1000.

Top 12 peaks for 10° ≤ 2θ ≤ 90°, in order of falling intensity:
2θ = 32.36°, rel. 1000; 2θ = 32.22°, rel. 883; 2θ = 57.66°, rel. 535; 2θ = 46.31°, rel. 325; 2θ = 64.17°, rel. 282; 2θ = 77.00°, rel. 146; 2θ = 82.81°, rel. 140; 2θ = 42.06°, rel. 126; 2θ = 67.73°, rel. 120; 2θ = 53.78°, rel. 80; 2θ = 26.14°, rel. 73; 2θ = 86.01°, rel. 56

abc: 5.5336 5.5336 3.4093
angles: 90.00 90.00 120.00
Fractional coordinates of all 3 atoms:
Dy: 0.0000 0.0000 0.0000
Er: 0.6667 0.3333 0.5000
Lu: 0.3333 0.6667 0.5000


Record 12
For DyEr2Mg4, the GGA-PBE geometry in Alexandria gives the simulated powder XRD pattern in this record (Cu Kα, 1.54184 Å).
Intensities are scaled so that the largest is 1000.

Top 12 peaks for 10° ≤ 2θ ≤ 90°, in order of falling intensity:
2θ = 34.45°, rel. 1000; 2θ = 23.45°, rel. 562; 2θ = 33.41°, rel. 546; 2θ = 24.91°, rel. 406; 2θ = 60.38°, rel. 394; 2θ = 17.65°, rel. 386; 2θ = 42.11°, rel. 330; 2θ = 12.36°, rel. 209; 2θ = 47.96°, rel. 198; 2θ = 26.59°, rel. 179; 2θ = 62.37°, rel. 176; 2θ = 85.30°, rel. 142

abc: 5.3647 5.3647 14.3200
angles: 90.00 90.00 90.00
Fractional coordinates of all 14 atoms:
Dy: 0.0000 0.0000 0.0000
Dy: 0.5000 0.5000 0.5000
Er: 0.0000 0.0000 0.2495
Er: 0.0000 0.0000 0.7505
Er: 0.5000 0.5000 0.2505
Er: 0.5000 0.5000 0.7495
Mg: 0.0000 0.5000 0.1181
Mg: 0.0000 0.5000 0.3819
Mg: 0.0000 0.5000 0.6181
Mg: 0.0000 0.5000 0.8819
Mg: 0.5000 0.0000 0.1181
Mg: 0.5000 0.0000 0.3819
Mg: 0.5000 0.0000 0.6181
Mg: 0.5000 0.0000 0.8819